Diffraction record for AcUCo2O8. The PXRD pattern is calculated, not measured: it uses the GGA+U geometry in Alexandria and λ = 1.5418 Å (Cu Kα).
No peak broadening, texture or thermal motion is included.

Most intense lines, 2θ = 10–80°, in order of rising 2θ:
2θ (°)	I_rel
18.24	57
24.64	100
30.83	22
32.37	81
35.13	27
48.51	64
50.53	16
57.00	16
61.29	18
72.65	16

Atomic structure:
```
AcUCo2O8
1.0
-3.613 3.613 3.290
3.613 -3.613 3.290
3.613 3.613 -3.290
Ac U Co O
1 1 2 8
Direct
0.000 0.000 0.000
0.750 0.250 0.500
0.250 0.750 0.500
0.500 0.500 0.000
0.055 0.391 0.337
0.055 0.718 0.663
0.119 0.327 0.792
0.282 0.945 0.337
0.535 0.327 0.208
0.609 0.945 0.663
0.673 0.465 0.792
0.673 0.881 0.208
```